Entry 1:
Structure and theoretical PXRD pattern of Cs2Tm2S3O (a structure optimized by DFT (PBE); Cu Kα X-rays).

Principal peaks in the range 2θ from 5° to 70°, most intense first:
2θ/deg	intensity
29.0	100.0
31.8	45.1
22.9	36.8
44.1	34.7
46.9	34.5
52.8	23.9
35.3	19.1
27.2	18.4

Cell and atoms:
Unit cell a=3.873 b=3.873 c=15.558 alpha=90.00 beta=90.00 gamma=120.00
Positions (direct):
Cs  0.000  0.000  0.000
Cs  0.333  0.667  0.474
Tm  0.667  0.333  0.261
Tm  0.667  0.333  0.735
S  0.000  0.000  0.637
S  0.333  0.667  0.162
S  0.333  0.667  0.831
O  0.000  0.000  0.323

***

Entry 2:
Structure and theoretical PXRD pattern of CsTmSO (a structure optimized by DFT (PBE); Cu Kα X-rays).

Principal peaks in the range 2θ from 5° to 70°, most intense first:
2θ/deg	intensity
22.4	100.0
32.5	91.5
29.2	77.7
27.3	71.3
11.1	60.3
25.6	56.1
34.2	52.2
38.5	50.4

Cell and atoms:
Unit cell a=8.181 b=7.222 c=6.626 alpha=90.00 beta=104.03 gamma=90.00
Positions (direct):
Cs  0.080  0.242  0.003
Cs  0.080  0.258  0.503
Cs  0.920  0.742  0.497
Cs  0.920  0.758  0.997
Tm  0.483  0.627  0.279
Tm  0.483  0.873  0.779
Tm  0.517  0.127  0.221
Tm  0.517  0.373  0.721
S  0.279  0.598  0.859
S  0.279  0.902  0.359
S  0.721  0.098  0.641
S  0.721  0.402  0.141
O  0.403  0.143  0.879
O  0.403  0.357  0.379
O  0.597  0.643  0.621
O  0.597  0.857  0.121

***

Entry 3:
Structure and theoretical PXRD pattern of Cs2Zr2Sb2O7 (a structure optimized by DFT (PBE); Cu Kα X-rays).

Principal peaks in the range 2θ from 5° to 70°, most intense first:
2θ/deg	intensity
27.1	100.0
29.0	92.2
40.1	39.6
50.3	38.9
46.6	20.1
51.5	18.1
64.2	15.7
67.2	15.2

Cell and atoms:
Unit cell a=6.149 b=6.149 c=8.368 alpha=90.00 beta=90.00 gamma=120.00
Positions (direct):
Cs  0.333  0.667  0.102
Cs  0.667  0.333  0.898
Zr  0.000  0.000  0.268
Zr  0.000  0.000  0.732
Sb  0.333  0.667  0.630
Sb  0.667  0.333  0.370
O  0.000  0.000  0.500
O  0.182  0.363  0.788
O  0.182  0.818  0.788
O  0.363  0.182  0.212
O  0.637  0.818  0.788
O  0.818  0.182  0.212
O  0.818  0.637  0.212

***

Entry 4:
Structure and theoretical PXRD pattern of CsSmSeO (a structure optimized by DFT (PBE); Cu Kα X-rays).

Principal peaks in the range 2θ from 5° to 70°, most intense first:
2θ/deg	intensity
27.5	100.0
27.2	87.6
43.1	68.5
30.9	53.8
6.8	50.7
32.4	40.8
32.1	39.2
23.5	38.1

Cell and atoms:
Unit cell a=5.935 b=5.931 c=13.251 alpha=90.00 beta=102.00 gamma=90.00
Positions (direct):
Cs  0.179  0.000  0.380
Cs  0.321  0.500  0.620
Cs  0.679  0.500  0.380
Cs  0.821  0.000  0.620
Sm  0.212  0.255  0.918
Sm  0.288  0.755  0.082
Sm  0.712  0.755  0.918
Sm  0.788  0.255  0.082
Se  0.119  0.501  0.252
Se  0.381  0.001  0.748
Se  0.619  0.001  0.252
Se  0.881  0.501  0.748
O  0.000  0.005  0.000
O  0.000  0.505  0.000
O  0.500  0.005  0.000
O  0.500  0.505  0.000

***

Entry 5:
Structure and theoretical PXRD pattern of CsTa3Se2O12 (a structure optimized by DFT (PBE); Cu Kα X-rays).

Principal peaks in the range 2θ from 5° to 70°, most intense first:
2θ/deg	intensity
25.3	100.0
32.3	42.9
53.5	24.8
48.1	22.8
41.4	18.8
20.4	14.6
8.6	12.9
39.6	9.4

Cell and atoms:
Unit cell a=5.548 b=5.548 c=10.340 alpha=90.00 beta=90.00 gamma=120.00
Positions (direct):
Cs  0.000  0.000  0.000
Ta  0.000  0.000  0.500
Ta  0.333  0.667  0.708
Ta  0.667  0.333  0.292
Se  0.333  0.667  0.241
Se  0.667  0.333  0.759
O  0.012  0.506  0.163
O  0.166  0.331  0.613
O  0.166  0.834  0.613
O  0.331  0.166  0.387
O  0.494  0.506  0.163
O  0.494  0.988  0.163
O  0.506  0.012  0.837
O  0.506  0.494  0.837
O  0.669  0.834  0.613
O  0.834  0.166  0.387
O  0.834  0.669  0.387
O  0.988  0.494  0.837

***

Entry 6:
Structure and theoretical PXRD pattern of Cs2Zn3Se4O12 (a structure optimized by DFT (PBE); Cu Kα X-rays).

Principal peaks in the range 2θ from 5° to 70°, most intense first:
2θ/deg	intensity
28.1	100.0
28.3	56.8
31.0	55.1
28.3	52.0
27.4	48.7
29.4	44.6
28.0	42.4
29.8	39.8

Cell and atoms:
Unit cell a=7.095 b=7.461 c=14.625 alpha=87.63 beta=86.76 gamma=74.51
Positions (direct):
Cs  0.196  0.211  0.010
Cs  0.218  0.189  0.509
Cs  0.782  0.811  0.491
Cs  0.804  0.789  0.990
Zn  0.029  0.968  0.750
Zn  0.321  0.648  0.378
Zn  0.352  0.685  0.110
Zn  0.648  0.315  0.890
Zn  0.679  0.352  0.622
Zn  0.971  0.032  0.250
Se  0.008  0.400  0.769
Se  0.282  0.681  0.608
Se  0.333  0.709  0.882
Se  0.430  0.977  0.262
Se  0.570  0.023  0.738
Se  0.667  0.291  0.118
Se  0.718  0.319  0.392
Se  0.992  0.600  0.231
O  0.065  0.636  0.337
O  0.079  0.174  0.815
O  0.104  0.752  0.838
O  0.198  0.052  0.315
O  0.210  0.514  0.167
O  0.219  0.757  0.498
O  0.248  0.894  0.656
O  0.272  0.801  0.989
O  0.372  0.924  0.155
O  0.376  0.474  0.905
O  0.466  0.387  0.402
O  0.485  0.236  0.682
O  0.515  0.764  0.318
O  0.534  0.613  0.598
O  0.624  0.526  0.095
O  0.628  0.076  0.845
O  0.728  0.199  0.011
O  0.752  0.106  0.344
O  0.781  0.243  0.502
O  0.790  0.486  0.833
O  0.802  0.948  0.685
O  0.896  0.248  0.162
O  0.921  0.826  0.185
O  0.935  0.364  0.663

***

Entry 7:
Structure and theoretical PXRD pattern of Cs2TmSiO4 (a structure optimized by DFT (PBE); Cu Kα X-rays).

Principal peaks in the range 2θ from 5° to 70°, most intense first:
2θ/deg	intensity
26.6	100.0
26.7	72.3
29.2	51.6
28.1	36.4
50.2	29.5
24.3	24.8
41.0	20.7
19.1	20.7

Cell and atoms:
Unit cell a=7.519 b=7.519 c=8.310 alpha=90.00 beta=90.00 gamma=132.02
Positions (direct):
Cs  0.069  0.931  0.500
Cs  0.402  0.598  0.658
Cs  0.598  0.402  0.158
Cs  0.931  0.069  0.000
Tm  0.306  0.694  0.229
Tm  0.694  0.306  0.729
Si  0.187  0.813  0.943
Si  0.813  0.187  0.443
O  0.072  0.362  0.347
O  0.152  0.848  0.135
O  0.307  0.693  0.964
O  0.362  0.072  0.847
O  0.638  0.928  0.347
O  0.693  0.307  0.464
O  0.848  0.152  0.635
O  0.928  0.638  0.847

***

Entry 8:
Structure and theoretical PXRD pattern of Cs8Ta6O19 (a structure optimized by DFT (PBE); Cu Kα X-rays).

Principal peaks in the range 2θ from 5° to 70°, most intense first:
2θ/deg	intensity
28.0	100.0
28.9	47.3
11.0	45.3
38.5	20.9
48.9	17.4
50.7	16.1
41.4	15.5
57.8	14.2

Cell and atoms:
Unit cell a=9.837 b=9.837 c=9.837 alpha=120.53 beta=120.53 gamma=89.08
Positions (direct):
Cs  0.074  0.442  0.212
Cs  0.138  0.926  0.368
Cs  0.231  0.862  0.788
Cs  0.442  0.231  0.368
Cs  0.558  0.769  0.632
Cs  0.769  0.138  0.212
Cs  0.862  0.074  0.632
Cs  0.926  0.558  0.788
Ta  0.282  0.391  0.673
Ta  0.333  0.333  0.000
Ta  0.391  0.718  0.109
Ta  0.609  0.282  0.891
Ta  0.667  0.667  0.000
Ta  0.718  0.609  0.327
O  0.122  0.294  0.416
O  0.178  0.268  0.728
O  0.202  0.202  0.000
O  0.232  0.587  0.819
O  0.268  0.541  0.090
O  0.294  0.878  0.173
O  0.413  0.232  0.645
O  0.450  0.178  0.910
O  0.459  0.550  0.728
O  0.500  0.500  0.000
O  0.541  0.450  0.272
O  0.550  0.822  0.090
O  0.587  0.768  0.355
O  0.706  0.122  0.827
O  0.732  0.459  0.910
O  0.768  0.413  0.181
O  0.798  0.798  0.000
O  0.822  0.732  0.272
O  0.878  0.706  0.584

***

Entry 9:
Structure and theoretical PXRD pattern of Cs2ZnO2 (a structure optimized by DFT (PBE); Cu Kα X-rays).

Principal peaks in the range 2θ from 5° to 70°, most intense first:
2θ/deg	intensity
28.3	100.0
27.2	85.7
28.5	67.0
31.4	65.0
25.6	55.8
32.8	52.8
31.1	51.6
28.9	25.7

Cell and atoms:
Unit cell a=9.855 b=6.614 c=16.359 alpha=90.00 beta=117.54 gamma=90.00
Positions (direct):
Cs  0.072  0.140  0.338
Cs  0.072  0.360  0.838
Cs  0.143  0.675  0.476
Cs  0.143  0.825  0.976
Cs  0.320  0.590  0.740
Cs  0.320  0.910  0.240
Cs  0.427  0.074  0.879
Cs  0.427  0.426  0.379
Cs  0.573  0.574  0.621
Cs  0.573  0.926  0.121
Cs  0.680  0.090  0.760
Cs  0.680  0.410  0.260
Cs  0.857  0.175  0.024
Cs  0.857  0.325  0.524
Cs  0.928  0.640  0.162
Cs  0.928  0.860  0.662
Zn  0.244  0.135  0.628
Zn  0.244  0.365  0.128
Zn  0.415  0.056  0.540
Zn  0.415  0.444  0.040
Zn  0.585  0.556  0.960
Zn  0.585  0.944  0.460
Zn  0.756  0.635  0.872
Zn  0.756  0.865  0.372
O  0.140  0.195  0.695
O  0.140  0.305  0.195
O  0.269  0.220  0.031
O  0.269  0.280  0.531
O  0.367  0.623  0.930
O  0.367  0.877  0.430
O  0.382  0.588  0.141
O  0.382  0.912  0.641
O  0.618  0.088  0.359
O  0.618  0.412  0.859
O  0.633  0.123  0.570
O  0.633  0.377  0.070
O  0.731  0.720  0.469
O  0.731  0.780  0.969
O  0.860  0.695  0.805
O  0.860  0.805  0.305

***

Entry 10:
Structure and theoretical PXRD pattern of Cs6Zn2O5 (a structure optimized by DFT (PBE); Cu Kα X-rays).

Principal peaks in the range 2θ from 5° to 70°, most intense first:
2θ/deg	intensity
28.6	100.0
28.2	83.9
29.0	48.9
36.0	39.3
27.3	37.4
36.4	31.0
24.8	24.5
45.5	22.2

Cell and atoms:
Unit cell a=7.191 b=7.191 c=7.292 alpha=92.95 beta=92.95 gamma=117.77
Positions (direct):
Cs  0.000  0.000  0.000
Cs  0.288  0.288  0.628
Cs  0.398  0.875  0.320
Cs  0.425  0.849  0.816
Cs  0.849  0.425  0.816
Cs  0.875  0.398  0.320
Zn  0.434  0.434  0.142
Zn  0.832  0.832  0.511
O  0.075  0.807  0.591
O  0.205  0.471  0.040
O  0.471  0.205  0.040
O  0.596  0.596  0.369
O  0.807  0.075  0.591